Entry 1:
Diffraction record for Tb5Y12Ho2. The powder X-ray diffraction pattern is theoretical, not measured: it uses a crystal structure in Alexandria, relaxed with PBE and a wavelength of 1.5418 Å.
Kinematic intensities with the Lorentz-polarization factor, no thermal factor.

Largest 10 diffraction maxima, sorted by position, 5° ≤ 2θ ≤ 70°:
2θ/deg	I_rel
30.7	100
35.6	34
35.7	17
51.2	6
51.3	23
51.4	6
60.9	7
61.0	17
61.1	17
64.0	9

Structural model:
```
Tb5Y12Ho2
1.0
6.1718 0.0000 0.0000
0.0025 9.4132 0.0000
1.0411 2.0489 10.4519
Tb Y Ho
5 12 2
Direct
0.0000 0.0000 0.0000
0.1572 0.6321 0.0520
0.4222 0.6849 0.4740
0.5778 0.3151 0.5260
0.8428 0.3679 0.9480
0.0512 0.2095 0.6838
0.1064 0.4210 0.3688
0.2106 0.8424 0.7360
0.3151 0.2632 0.1054
0.3680 0.4738 0.7892
0.4728 0.8946 0.1582
0.5272 0.1054 0.8418
0.6320 0.5262 0.2108
0.6849 0.7368 0.8946
0.7894 0.1576 0.2640
0.8936 0.5790 0.6312
0.9488 0.7905 0.3162
0.2638 0.0520 0.4221
0.7362 0.9480 0.5779
```

=====

Entry 2:
Diffraction record for K5U2O4F9. The powder X-ray diffraction pattern is theoretical, not measured: it uses a crystal structure in Alexandria, relaxed with PBE and a wavelength of 1.5418 Å.
Kinematic intensities with the Lorentz-polarization factor, no thermal factor.

Largest 10 diffraction maxima, sorted by position, 5° ≤ 2θ ≤ 70°:
2θ/deg	I_rel
15.5	53
16.4	100
17.2	33
18.1	35
22.2	36
26.2	40
26.7	72
27.0	70
28.7	40
39.2	38

Structural model:
```
K5U2O4F9
1.0
9.9925 -3.1147 0.0000
9.9925 3.1147 0.0000
-2.3507 0.0000 11.4678
K U O F
10 4 8 18
Direct
0.0000 0.5000 0.5000
0.0754 0.5638 0.8662
0.2239 0.7309 0.5825
0.2691 0.7761 0.9175
0.4362 0.9246 0.6338
0.5000 0.0000 0.0000
0.5638 0.0754 0.3662
0.7309 0.2239 0.0825
0.7761 0.2691 0.4175
0.9246 0.4362 0.1338
0.1308 0.6439 0.2156
0.3561 0.8692 0.2844
0.6439 0.1308 0.7156
0.8692 0.3561 0.7844
0.1253 0.1619 0.3490
0.1619 0.1253 0.8490
0.4149 0.4245 0.7786
0.4245 0.4149 0.2786
0.5755 0.5851 0.7214
0.5851 0.5755 0.2214
0.8381 0.8747 0.1510
0.8747 0.8381 0.6510
0.0179 0.1609 0.6109
0.0907 0.9093 0.2500
0.0924 0.5008 0.3022
0.1609 0.0179 0.1109
0.1956 0.4100 0.0815
0.2624 0.6041 0.0604
0.3959 0.7376 0.4396
0.4100 0.1956 0.5815
0.4992 0.9076 0.1978
0.5008 0.0924 0.8022
0.5900 0.8044 0.4185
0.6041 0.2624 0.5604
0.7376 0.3959 0.9396
0.8044 0.5900 0.9185
0.8391 0.9821 0.8891
0.9076 0.4992 0.6978
0.9093 0.0907 0.7500
0.9821 0.8391 0.3891
```

=====

Entry 3:
Diffraction record for Cd3In5. The powder X-ray diffraction pattern is theoretical, not measured: it uses a crystal structure in Alexandria, relaxed with PBE and a wavelength of 1.5418 Å.
Kinematic intensities with the Lorentz-polarization factor, no thermal factor.

Largest 10 diffraction maxima, sorted by position, 5° ≤ 2θ ≤ 70°:
2θ/deg	I_rel
33.2	100
36.1	4
37.5	14
39.0	34
55.2	18
56.3	11
60.2	4
65.0	7
66.9	25
69.6	9

Structural model:
```
Cd3In5
1.0
3.2696 0.0000 0.0000
0.0000 3.2696 0.0000
0.0000 0.0000 19.1659
Cd In
3 5
Direct
0.0000 0.0000 0.0000
0.5000 0.5000 0.1128
0.5000 0.5000 0.8872
0.0000 0.0000 0.2345
0.0000 0.0000 0.5000
0.0000 0.0000 0.7655
0.5000 0.5000 0.3675
0.5000 0.5000 0.6325
```

=====

Entry 4:
Diffraction record for SrNd2BeO5. The powder X-ray diffraction pattern is theoretical, not measured: it uses a crystal structure in Alexandria, relaxed with PBE and a wavelength of 1.5418 Å.
Kinematic intensities with the Lorentz-polarization factor, no thermal factor.

Largest 10 diffraction maxima, sorted by position, 5° ≤ 2θ ≤ 70°:
2θ/deg	I_rel
28.5	38
29.4	91
30.7	66
30.9	100
31.1	45
37.9	44
39.8	38
41.3	26
52.0	26
55.6	28

Structural model:
```
SrNd2BeO5
1.0
9.6467 0.0000 0.0000
0.0000 6.6161 0.0000
0.0000 0.0000 7.3020
Sr Nd Be O
4 8 4 20
Direct
0.1751 0.0818 0.0000
0.3249 0.5818 0.5000
0.6751 0.4182 0.0000
0.8249 0.9182 0.5000
0.0227 0.5956 0.7657
0.1723 0.0716 0.5467
0.3277 0.5716 0.0467
0.4773 0.0956 0.2657
0.5227 0.9044 0.7657
0.6723 0.4284 0.5467
0.8277 0.9284 0.0467
0.9773 0.4044 0.2657
0.1014 0.8076 0.2681
0.3986 0.3076 0.7681
0.6014 0.6924 0.2681
0.8986 0.1924 0.7681
0.0110 0.0202 0.2694
0.0681 0.6958 0.4604
0.0699 0.6861 0.0778
0.2228 0.3378 0.2633
0.2260 0.3644 0.7688
0.2740 0.8644 0.2688
0.2772 0.8378 0.7633
0.4301 0.1861 0.5778
0.4319 0.1958 0.9604
0.4890 0.5202 0.7694
0.5110 0.4798 0.2694
0.5681 0.8042 0.4604
0.5699 0.8139 0.0778
0.7228 0.1622 0.2633
0.7260 0.1356 0.7688
0.7740 0.6356 0.2688
0.7772 0.6622 0.7633
0.9301 0.3139 0.5778
0.9319 0.3042 0.9604
0.9890 0.9798 0.7694
```